For BaCaCeTiO6, a structure optimized by DFT (PBE) gives the simulated powder XRD pattern in this record (Cu Kα (weighted mean of Kα1 and Kα2)).
Peak positions follow from Bragg's law for the DFT cell and can differ from measured ones.

Most intense lines, 10° ≤ 2θ ≤ 90°, by angle:
two_theta, d [Å], Rel. int.
18.31, 4.847, 29
30.11, 2.968, 100
35.47, 2.531, 20
43.10, 2.099, 35
53.48, 1.713, 39
62.60, 1.484, 21
71.02, 1.327, 17
86.83, 1.122, 21

```
BaCaCeTiO6
1.0
0.0000 4.1972 4.1972
4.1972 0.0000 4.1972
4.1972 4.1972 0.0000
Ba Ca Ce Ti O
1 1 1 1 6
direct
0.0000 0.0000 0.0000 Ba
0.5000 0.5000 0.5000 Ca
0.7500 0.7500 0.7500 Ce
0.2500 0.2500 0.2500 Ti
0.0145 0.0145 0.4855 O
0.0145 0.4855 0.0145 O
0.0145 0.4855 0.4855 O
0.4855 0.0145 0.0145 O
0.4855 0.0145 0.4855 O
0.4855 0.4855 0.0145 O
```